Entry 1:
Starting from a DFT-relaxed cell (PBE, Alexandria), the powder diffraction line list of Ba2Ge4Pd5 was simulated for Cu Kα.

Structure:
```
data_Ba2Ge4Pd5
_cell_length_a 9.033
_cell_length_b 9.033
_cell_length_c 6.037
_cell_angle_alpha 90.00
_cell_angle_beta 90.00
_cell_angle_gamma 104.53
_space_group_name_H-M_alt 'P 1'
_space_group_IT_number 1
_space_group_name_Hall 'P 1'
loop_
_atom_site_label
_atom_site_type_symbol
_atom_site_fract_x
_atom_site_fract_y
_atom_site_fract_z
Ba1 Ba 0.142 0.858 0.970
Ba2 Ba 0.358 0.642 0.470
Ba3 Ba 0.642 0.358 0.530
Ba4 Ba 0.858 0.142 0.030
Ge1 Ge 0.045 0.293 0.557
Ge2 Ge 0.207 0.455 0.943
Ge3 Ge 0.293 0.045 0.443
Ge4 Ge 0.455 0.207 0.057
Ge5 Ge 0.545 0.793 0.943
Ge6 Ge 0.707 0.955 0.557
Ge7 Ge 0.793 0.545 0.057
Ge8 Ge 0.955 0.707 0.443
Pd1 Pd 0.000 0.000 0.500
Pd2 Pd 0.023 0.477 0.250
Pd3 Pd 0.226 0.274 0.250
Pd4 Pd 0.274 0.226 0.750
Pd5 Pd 0.477 0.023 0.750
Pd6 Pd 0.500 0.500 0.000
Pd7 Pd 0.523 0.977 0.250
Pd8 Pd 0.726 0.774 0.250
Pd9 Pd 0.774 0.726 0.750
Pd10 Pd 0.977 0.523 0.750
```

Top 6 peaks for 15° ≤ 2θ ≤ 90°, sorted by position:
| 2θ/deg | d [Å] | I_rel |
| --- | --- | --- |
| 25.1 | 3.542 | 462 |
| 32.4 | 2.764 | 449 |
| 33.8 | 2.649 | 794 |
| 34.2 | 2.625 | 1000 |
| 39.1 | 2.306 | 601 |
| 58.7 | 1.573 | 366 |

=====

Entry 2:
Starting from a DFT-relaxed cell (PBE, Alexandria), the powder diffraction line list of VWSe3 was simulated for Cu Kα.

Structure:
```
data_VWSe3
_cell_length_a 3.405
_cell_length_b 12.273
_cell_length_c 12.273
_cell_angle_alpha 151.82
_cell_angle_beta 90.00
_cell_angle_gamma 90.00
_space_group_name_H-M_alt 'P 1'
_space_group_IT_number 1
_space_group_name_Hall 'P 1'
loop_
_atom_site_label
_atom_site_type_symbol
_atom_site_fract_x
_atom_site_fract_y
_atom_site_fract_z
V1 V 0.250 0.136 0.864
V2 V 0.750 0.864 0.136
W1 W 0.250 0.511 0.861
W2 W 0.750 0.861 0.511
Se1 Se 0.250 0.131 0.663
Se2 Se 0.250 0.530 0.262
Se3 Se 0.250 0.772 0.921
Se4 Se 0.750 0.262 0.530
Se5 Se 0.750 0.663 0.131
Se6 Se 0.750 0.921 0.772
```

Top 6 peaks for 15° ≤ 2θ ≤ 90°, sorted by position:
| 2θ/deg | d [Å] | I_rel |
| --- | --- | --- |
| 15.3 | 5.797 | 812 |
| 18.6 | 4.774 | 927 |
| 30.4 | 2.936 | 1000 |
| 40.9 | 2.207 | 710 |
| 43.0 | 2.101 | 770 |
| 46.5 | 1.951 | 790 |

=====

Entry 3:
Starting from a DFT-relaxed cell (PBE, Alexandria), the powder diffraction line list of Pu5Cu2Ge5 was simulated for Cu Kα.

Structure:
```
data_Pu5Cu2Ge5
_cell_length_a 7.714
_cell_length_b 7.714
_cell_length_c 11.024
_cell_angle_alpha 129.78
_cell_angle_beta 129.78
_cell_angle_gamma 31.58
_space_group_name_H-M_alt 'P 1'
_space_group_IT_number 1
_space_group_name_Hall 'P 1'
loop_
_atom_site_label
_atom_site_type_symbol
_atom_site_fract_x
_atom_site_fract_y
_atom_site_fract_z
Pu1 Pu 0.000 0.000 0.000
Pu2 Pu 0.310 0.310 0.403
Pu3 Pu 0.373 0.373 0.200
Pu4 Pu 0.627 0.627 0.800
Pu5 Pu 0.690 0.690 0.597
Cu1 Cu 0.392 0.392 0.744
Cu2 Cu 0.608 0.608 0.256
Ge1 Ge 0.000 0.000 0.500
Ge2 Ge 0.074 0.074 0.332
Ge3 Ge 0.313 0.313 0.886
Ge4 Ge 0.687 0.687 0.114
Ge5 Ge 0.926 0.926 0.668
```

Top 6 peaks for 15° ≤ 2θ ≤ 90°, sorted by position:
| 2θ/deg | d [Å] | I_rel |
| --- | --- | --- |
| 22.7 | 3.921 | 454 |
| 32.3 | 2.774 | 1000 |
| 35.0 | 2.565 | 495 |
| 35.1 | 2.557 | 411 |
| 40.8 | 2.210 | 783 |
| 43.1 | 2.099 | 371 |

=====

Entry 4:
Starting from a DFT-relaxed cell (PBE, Alexandria), the powder diffraction line list of ThMgNi was simulated for Cu Kα.

Structure:
```
data_ThMgNi
_cell_length_a 6.564
_cell_length_b 6.564
_cell_length_c 11.690
_cell_angle_alpha 90.00
_cell_angle_beta 90.00
_cell_angle_gamma 120.00
_space_group_name_H-M_alt 'P 1'
_space_group_IT_number 1
_space_group_name_Hall 'P 1'
loop_
_atom_site_label
_atom_site_type_symbol
_atom_site_fract_x
_atom_site_fract_y
_atom_site_fract_z
Th1 Th 0.000 0.500 0.379
Th2 Th 0.000 0.500 0.954
Th3 Th 0.500 0.000 0.288
Th4 Th 0.500 0.000 0.712
Th5 Th 0.500 0.500 0.046
Th6 Th 0.500 0.500 0.621
Mg1 Mg 0.000 0.000 0.167
Mg2 Mg 0.000 0.000 0.500
Mg3 Mg 0.000 0.000 0.833
Mg4 Mg 0.000 0.500 0.667
Mg5 Mg 0.500 0.000 0.000
Mg6 Mg 0.500 0.500 0.333
Ni1 Ni 0.223 0.611 0.167
Ni2 Ni 0.389 0.611 0.833
Ni3 Ni 0.389 0.777 0.500
Ni4 Ni 0.611 0.223 0.500
Ni5 Ni 0.611 0.389 0.833
Ni6 Ni 0.777 0.389 0.167
```

Top 6 peaks for 15° ≤ 2θ ≤ 90°, sorted by position:
| 2θ/deg | d [Å] | I_rel |
| --- | --- | --- |
| 15.6 | 5.684 | 875 |
| 21.8 | 4.075 | 930 |
| 31.3 | 2.862 | 466 |
| 31.5 | 2.842 | 1000 |
| 39.2 | 2.296 | 504 |
| 45.0 | 2.017 | 614 |

=====

Entry 5:
Starting from a DFT-relaxed cell (PBE, Alexandria), the powder diffraction line list of AuSe2N2 was simulated for Cu Kα.

Structure:
```
data_AuSe2N2
_cell_length_a 3.731
_cell_length_b 3.731
_cell_length_c 6.675
_cell_angle_alpha 90.00
_cell_angle_beta 90.00
_cell_angle_gamma 90.00
_space_group_name_H-M_alt 'P 1'
_space_group_IT_number 1
_space_group_name_Hall 'P 1'
loop_
_atom_site_label
_atom_site_type_symbol
_atom_site_fract_x
_atom_site_fract_y
_atom_site_fract_z
Au1 Au 0.000 0.000 0.000
Se1 Se 0.500 0.500 0.000
Se2 Se 0.500 0.500 0.500
N1 N 0.000 0.500 0.500
N2 N 0.500 0.000 0.500
```

Top 6 peaks for 15° ≤ 2θ ≤ 90°, sorted by position:
| 2θ/deg | d [Å] | I_rel |
| --- | --- | --- |
| 26.7 | 3.337 | 1000 |
| 27.4 | 3.256 | 971 |
| 34.0 | 2.638 | 779 |
| 36.6 | 2.453 | 593 |
| 43.7 | 2.069 | 787 |
| 56.5 | 1.628 | 478 |

=====

Entry 6:
Starting from a DFT-relaxed cell (PBE, Alexandria), the powder diffraction line list of HoPu2S5 was simulated for Cu Kα.

Structure:
```
data_HoPu2S5
_cell_length_a 8.733
_cell_length_b 8.040
_cell_length_c 5.061
_cell_angle_alpha 80.09
_cell_angle_beta 65.09
_cell_angle_gamma 34.81
_space_group_name_H-M_alt 'P 1'
_space_group_IT_number 1
_space_group_name_Hall 'P 1'
loop_
_atom_site_label
_atom_site_type_symbol
_atom_site_fract_x
_atom_site_fract_y
_atom_site_fract_z
Ho1 Ho 0.000 0.000 0.000
Pu1 Pu 0.322 0.322 0.678
Pu2 Pu 0.678 0.678 0.322
S1 S 0.008 0.679 0.321
S2 S 0.321 0.992 0.008
S3 S 0.500 0.500 0.500
S4 S 0.679 0.008 0.992
S5 S 0.992 0.321 0.679
```

Top 6 peaks for 15° ≤ 2θ ≤ 90°, sorted by position:
| 2θ/deg | d [Å] | I_rel |
| --- | --- | --- |
| 20.6 | 4.314 | 623 |
| 26.5 | 3.368 | 1000 |
| 33.9 | 2.646 | 319 |
| 35.5 | 2.531 | 249 |
| 39.9 | 2.260 | 897 |
| 41.4 | 2.183 | 189 |

=====

Entry 7:
Starting from a DFT-relaxed cell (PBE, Alexandria), the powder diffraction line list of AcPr4Sm6 was simulated for Cu Kα.

Structure:
```
data_AcPr4Sm6
_cell_length_a 8.654
_cell_length_b 8.654
_cell_length_c 8.654
_cell_angle_alpha 124.79
_cell_angle_beta 124.79
_cell_angle_gamma 81.88
_space_group_name_H-M_alt 'P 1'
_space_group_IT_number 1
_space_group_name_Hall 'P 1'
loop_
_atom_site_label
_atom_site_type_symbol
_atom_site_fract_x
_atom_site_fract_y
_atom_site_fract_z
Ac1 Ac 0.000 0.000 0.000
Pr1 Pr 0.255 0.255 0.658
Pr2 Pr 0.403 0.745 0.000
Pr3 Pr 0.597 0.597 0.342
Pr4 Pr 0.745 0.403 0.000
Sm1 Sm 0.000 0.500 0.500
Sm2 Sm 0.068 0.549 0.000
Sm3 Sm 0.451 0.451 0.519
Sm4 Sm 0.500 0.000 0.500
Sm5 Sm 0.549 0.068 0.000
Sm6 Sm 0.932 0.932 0.481
```

Top 6 peaks for 15° ≤ 2θ ≤ 90°, sorted by position:
| 2θ/deg | d [Å] | I_rel |
| --- | --- | --- |
| 25.8 | 3.459 | 266 |
| 26.1 | 3.418 | 526 |
| 31.6 | 2.833 | 1000 |
| 32.3 | 2.769 | 246 |
| 34.2 | 2.619 | 254 |
| 53.0 | 1.729 | 359 |

=====

Entry 8:
Starting from a DFT-relaxed cell (PBE, Alexandria), the powder diffraction line list of UAl11 was simulated for Cu Kα.

Structure:
```
data_UAl11
_cell_length_a 8.490
_cell_length_b 8.490
_cell_length_c 8.490
_cell_angle_alpha 100.23
_cell_angle_beta 100.23
_cell_angle_gamma 130.15
_space_group_name_H-M_alt 'P 1'
_space_group_IT_number 1
_space_group_name_Hall 'P 1'
loop_
_atom_site_label
_atom_site_type_symbol
_atom_site_fract_x
_atom_site_fract_y
_atom_site_fract_z
U1 U 0.375 0.625 0.750
U2 U 0.625 0.375 0.250
Al1 Al 0.000 0.000 0.000
Al2 Al 0.000 0.000 0.500
Al3 Al 0.000 0.500 0.000
Al4 Al 0.125 0.875 0.250
Al5 Al 0.132 0.555 0.335
Al6 Al 0.132 0.797 0.577
Al7 Al 0.203 0.280 0.335
Al8 Al 0.203 0.868 0.923
Al9 Al 0.280 0.203 0.835
Al10 Al 0.280 0.445 0.077
Al11 Al 0.445 0.280 0.577
Al12 Al 0.445 0.868 0.165
Al13 Al 0.500 0.000 0.500
Al14 Al 0.555 0.132 0.835
Al15 Al 0.555 0.720 0.423
Al16 Al 0.720 0.555 0.923
Al17 Al 0.720 0.797 0.165
Al18 Al 0.797 0.132 0.077
Al19 Al 0.797 0.720 0.665
Al20 Al 0.868 0.203 0.423
Al21 Al 0.868 0.445 0.665
Al22 Al 0.875 0.125 0.750
```

Top 6 peaks for 15° ≤ 2θ ≤ 90°, sorted by position:
| 2θ/deg | d [Å] | I_rel |
| --- | --- | --- |
| 16.3 | 5.444 | 361 |
| 22.1 | 4.026 | 508 |
| 27.5 | 3.242 | 585 |
| 32.2 | 2.782 | 436 |
| 36.2 | 2.480 | 1000 |
| 36.9 | 2.435 | 462 |

=====

Entry 9:
Starting from a DFT-relaxed cell (PBE, Alexandria), the powder diffraction line list of FeCu2W was simulated for Cu Kα.

Structure:
```
data_FeCu2W
_cell_length_a 3.706
_cell_length_b 3.706
_cell_length_c 7.274
_cell_angle_alpha 90.00
_cell_angle_beta 90.00
_cell_angle_gamma 90.00
_space_group_name_H-M_alt 'P 1'
_space_group_IT_number 1
_space_group_name_Hall 'P 1'
loop_
_atom_site_label
_atom_site_type_symbol
_atom_site_fract_x
_atom_site_fract_y
_atom_site_fract_z
Fe1 Fe 0.000 0.000 0.000
Fe2 Fe 0.500 0.500 0.500
Cu1 Cu 0.000 0.000 0.500
Cu2 Cu 0.000 0.500 0.750
Cu3 Cu 0.500 0.000 0.250
Cu4 Cu 0.500 0.500 0.000
W1 W 0.000 0.500 0.250
W2 W 0.500 0.000 0.750
```

Top 6 peaks for 15° ≤ 2θ ≤ 90°, sorted by position:
| 2θ/deg | d [Å] | I_rel |
| --- | --- | --- |
| 27.0 | 3.302 | 291 |
| 42.5 | 2.126 | 1000 |
| 49.2 | 1.853 | 324 |
| 50.2 | 1.818 | 152 |
| 72.9 | 1.298 | 191 |
| 87.4 | 1.116 | 238 |

=====

Entry 10:
Starting from a DFT-relaxed cell (PBE, Alexandria), the powder diffraction line list of CsN4 was simulated for Cu Kα.

Structure:
```
data_CsN4
_cell_length_a 4.697
_cell_length_b 5.495
_cell_length_c 8.983
_cell_angle_alpha 90.00
_cell_angle_beta 99.77
_cell_angle_gamma 90.00
_space_group_name_H-M_alt 'P 1'
_space_group_IT_number 1
_space_group_name_Hall 'P 1'
loop_
_atom_site_label
_atom_site_type_symbol
_atom_site_fract_x
_atom_site_fract_y
_atom_site_fract_z
Cs1 Cs 0.000 0.000 0.000
Cs2 Cs 0.000 0.500 0.500
N1 N 0.335 0.017 0.724
N2 N 0.335 0.483 0.224
N3 N 0.473 0.520 0.839
N4 N 0.473 0.980 0.339
N5 N 0.527 0.020 0.661
N6 N 0.527 0.480 0.161
N7 N 0.665 0.517 0.776
N8 N 0.665 0.983 0.276
```

Top 6 peaks for 15° ≤ 2θ ≤ 90°, sorted by position:
| 2θ/deg | d [Å] | I_rel |
| --- | --- | --- |
| 19.0 | 4.669 | 1000 |
| 25.4 | 3.511 | 550 |
| 25.9 | 3.445 | 653 |
| 28.3 | 3.149 | 903 |
| 32.6 | 2.748 | 375 |
| 34.5 | 2.600 | 544 |